Structure and simulated X-ray powder pattern of HoCo4Au3O12 (a crystal structure in OQMD, relaxed with GGA+U; Cu Kα, 1.54184 Å).
Neutral-atom scattering factors, no anomalous dispersion.

The 6 most intense peaks (10 to 80 degrees two-theta), most intense first:
Position (°2θ)	d_spacing	intensity	(hkl)
34.13	2.627	1000	2 2 0
61.11	1.517	439	4 2 2
23.95	3.715	298	2 0 0
49.05	1.857	235	4 0 0
42.13	2.145	157	2 2 2
55.30	1.661	137	4 2 0

Structure:
a = 7.4296 Å, b = 7.4296 Å, c = 7.4296 Å
α = 90.00°, β = 90.00°, γ = 90.00°
Space group Im-3 (No. 204)
One atom of each set of equivalent atoms:
Ho 0.0000 0.0000 0.0000
Co 0.2500 0.2500 0.2500
Au 0.0000 0.0000 0.5000
O 0.0000 0.1763 0.2915